Diffraction record for Li2CaV12O32. The X-ray powder pattern is computed, not measured: it uses DFT lattice parameters and positions (GGA+U) and Cu Kα, 1.54184 Å.

Principal peaks in the range 2θ from 10° to 90°, in order of falling intensity:
Position (°2θ)  I (rel.)
13.0  100
27.8  63
29.7  29
50.2  18
39.5  18
26.0  17

Structure:
```
Li2CaV12O32
1.0
7.147 -3.635 0.000
7.147 3.635 0.000
-3.762 0.000 11.697
Li Ca V O
2 1 12 32
direct
0.234 0.766 0.000
0.766 0.234 0.000
0.497 0.497 0.631
0.039 0.539 0.115
0.098 0.596 0.384
0.152 0.152 0.222
0.207 0.207 0.491
0.319 0.319 0.766
0.429 0.927 0.851
0.539 0.039 0.115
0.596 0.098 0.384
0.650 0.650 0.220
0.714 0.714 0.495
0.824 0.824 0.768
0.927 0.429 0.851
0.029 0.529 0.767
0.050 0.050 0.111
0.109 0.611 0.032
0.113 0.113 0.346
0.133 0.635 0.258
0.137 0.137 0.572
0.217 0.217 0.848
0.219 0.680 0.489
0.257 0.257 0.132
0.303 0.303 0.370
0.331 0.803 0.759
0.333 0.333 0.628
0.409 0.911 0.986
0.431 0.431 0.855
0.442 0.942 0.230
0.493 0.994 0.475
0.529 0.029 0.767
0.547 0.547 0.113
0.611 0.109 0.032
0.618 0.618 0.348
0.635 0.133 0.258
0.639 0.639 0.573
0.680 0.219 0.489
0.722 0.722 0.853
0.756 0.756 0.132
0.803 0.331 0.759
0.811 0.811 0.381
0.834 0.834 0.630
0.911 0.409 0.986
0.934 0.934 0.863
0.942 0.442 0.230
0.994 0.493 0.475
```